# Ac3Al3Zn2
Theoretical PXRD pattern, Cu Kα. Input: a DFT-relaxed cell (GGA-PBE, Alexandria).
Intensities are scaled so that the largest is 100.

Top 10 peaks for 2θ = 10–90°, by angle:
Position (°2θ)	d (Å)	I/Imax
20.75	4.280	35
22.94	3.877	32
23.11	3.848	62
30.22	2.958	100
30.70	2.912	79
31.86	2.809	24
37.15	2.420	35
37.93	2.372	26
44.21	2.049	24
50.76	1.799	31

```
data_Ac3Al3Zn2
_chemical_formula_sum 'Ac6 Al6 Zn4'
_symmetry_space_group_name_H-M 'P 1'
_symmetry_Int_Tables_number 1
_symmetry_space_group_name_Hall 'P 1'
_cell_length_a 6.117
_cell_length_b 6.117
_cell_length_c 15.846
_cell_angle_alpha 90.00
_cell_angle_beta 90.00
_cell_angle_gamma 133.39
loop_
_atom_site_label
_atom_site_fract_x
_atom_site_fract_y
_atom_site_fract_z
Ac1 0.103 0.897 0.608
Ac2 0.103 0.897 0.892
Ac3 0.389 0.611 0.750
Ac4 0.611 0.389 0.250
Ac5 0.897 0.103 0.108
Ac6 0.897 0.103 0.392
Al1 0.312 0.688 0.250
Al2 0.387 0.613 0.535
Al3 0.387 0.613 0.965
Al4 0.613 0.387 0.035
Al5 0.613 0.387 0.465
Al6 0.688 0.312 0.750
Zn1 0.198 0.802 0.096
Zn2 0.198 0.802 0.404
Zn3 0.802 0.198 0.596
Zn4 0.802 0.198 0.904
```